# 1
Starting from a crystal structure in Alexandria, relaxed with PBE, the powder X-ray diffraction pattern of Pu4Zn was simulated for Cu Kα (λ = 1.5418 Å).

Crystal structure
```
5
Lattice="5.492 0.000 0.000 0.000 5.492 0.000 0.000 0.000 5.492" Properties=species:S:1:pos:R:3 pbc="T T T"
Pu 0.000 0.000 0.000
Pu 0.000 2.746 2.746
Pu 2.746 0.000 2.746
Pu 2.746 2.746 0.000
Zn 2.746 2.746 2.746
```

Main lines, by angle (10 to 80 degrees two-theta):
16.14 deg, I = 2
22.90 deg, I = 2
28.15 deg, I = 100
32.61 deg, I = 70
46.79 deg, I = 53
55.50 deg, I = 48
58.20 deg, I = 19
68.32 deg, I = 9
75.46 deg, I = 20
77.78 deg, I = 24

---

# 2
Starting from a crystal structure in Alexandria, relaxed with PBE, the powder X-ray diffraction pattern of PuZn6 was simulated for Cu Kα (λ = 1.5418 Å).

Crystal structure
```
28
Lattice="8.528 0.000 0.000 0.000 5.250 0.000 0.000 0.000 10.671" Properties=species:S:1:pos:R:3 pbc="T T T"
Pu 2.064 1.312 0.624
Pu 2.199 3.937 5.959
Pu 6.328 1.312 4.712
Pu 6.463 3.937 10.047
Zn 0.512 3.937 0.942
Zn 0.595 0.068 3.291
Zn 0.595 2.557 3.291
Zn 0.737 1.312 5.578
Zn 1.159 3.937 9.102
Zn 1.608 1.312 8.049
Zn 2.656 3.937 2.714
Zn 3.105 1.312 3.767
Zn 3.527 3.937 0.242
Zn 3.669 2.693 8.627
Zn 3.669 5.182 8.627
Zn 3.752 1.312 6.278
Zn 4.775 3.937 4.393
Zn 4.859 0.068 2.044
Zn 4.859 2.557 2.044
Zn 5.001 1.312 10.429
Zn 5.423 3.937 6.904
Zn 5.872 1.312 7.957
Zn 6.920 3.937 2.622
Zn 7.369 1.312 1.569
Zn 7.790 3.937 5.093
Zn 7.933 2.693 7.380
Zn 7.933 5.182 7.380
Zn 8.016 1.312 9.729
```

Main lines, by angle (10 to 80 degrees two-theta):
21.55 deg, I = 43
30.35 deg, I = 24
34.16 deg, I = 32
35.25 deg, I = 56
36.93 deg, I = 100
37.10 deg, I = 79
38.21 deg, I = 28
40.35 deg, I = 26
49.90 deg, I = 22
64.23 deg, I = 26

---

# 3
Starting from a crystal structure in Alexandria, relaxed with PBE, the powder X-ray diffraction pattern of Pu3Zn was simulated for Cu Kα (λ = 1.5418 Å).

Crystal structure
```
4
Lattice="-2.410 2.410 3.402 2.410 -2.410 3.402 2.410 2.410 -3.402" Properties=species:S:1:pos:R:3 pbc="T T T"
Pu 0.000 0.000 0.000
Pu 2.410 0.000 1.701
Pu 0.000 2.410 1.701
Zn 0.000 0.000 3.402
```

Main lines, by angle (10 to 80 degrees two-theta):
22.61 deg, I = 10
26.16 deg, I = 5
37.33 deg, I = 100
44.09 deg, I = 6
46.16 deg, I = 2
53.78 deg, I = 12
53.90 deg, I = 6
59.11 deg, I = 3
67.33 deg, I = 37
79.60 deg, I = 12

---

# 4
Starting from a crystal structure in Alexandria, relaxed with PBE, the powder X-ray diffraction pattern of PuZn12 was simulated for Cu Kα (λ = 1.5418 Å).

Crystal structure
```
13
Lattice="-4.452 4.452 2.619 4.452 -4.452 2.619 4.452 4.452 -2.619" Properties=species:S:1:pos:R:3 pbc="T T T"
Pu 0.000 0.000 0.000
Zn 2.226 2.226 -1.309
Zn 3.150 0.000 0.000
Zn 2.226 -2.226 1.309
Zn 5.754 0.000 0.000
Zn 4.452 2.519 0.000
Zn 0.000 3.150 0.000
Zn -2.226 2.226 1.309
Zn 2.519 4.452 0.000
Zn 2.226 2.226 1.309
Zn 1.933 0.000 2.619
Zn 0.000 5.754 0.000
Zn 0.000 1.933 2.619
```

Main lines, by angle (10 to 80 degrees two-theta):
28.15 deg, I = 39
34.24 deg, I = 18
34.74 deg, I = 52
39.94 deg, I = 71
40.38 deg, I = 100
40.52 deg, I = 51
45.03 deg, I = 18
65.48 deg, I = 23
73.32 deg, I = 20
73.62 deg, I = 20

---

What did the fourth record say?
Starting from a crystal structure in Alexandria, relaxed with PBE, the powder X-ray diffraction pattern of PuZn12 was simulated for Cu Kα (λ = 1.5418 Å).

Crystal structure
```
13
Lattice="-4.452 4.452 2.619 4.452 -4.452 2.619 4.452 4.452 -2.619" Properties=species:S:1:pos:R:3 pbc="T T T"
Pu 0.000 0.000 0.000
Zn 2.226 2.226 -1.309
Zn 3.150 0.000 0.000
Zn 2.226 -2.226 1.309
Zn 5.754 0.000 0.000
Zn 4.452 2.519 0.000
Zn 0.000 3.150 0.000
Zn -2.226 2.226 1.309
Zn 2.519 4.452 0.000
Zn 2.226 2.226 1.309
Zn 1.933 0.000 2.619
Zn 0.000 5.754 0.000
Zn 0.000 1.933 2.619
```

Main lines, by angle (10 to 80 degrees two-theta):
28.15 deg, I = 39
34.24 deg, I = 18
34.74 deg, I = 52
39.94 deg, I = 71
40.38 deg, I = 100
40.52 deg, I = 51
45.03 deg, I = 18
65.48 deg, I = 23
73.32 deg, I = 20
73.62 deg, I = 20